Computed XRD peak list of LiMnF4 for λ = 1.5418 Å (Cu Kα), from the PBE+U geometry in Alexandria.
Kinematic intensities with the Lorentz-polarization factor, no thermal factor.

Crystal structure
a b c (Å): 5.9888 4.9029 10.3984
angles (deg): 90.00 90.10 90.00
Space group P2_1/c (No. 14)
Asymmetric unit:
Li: 0.1228 0.0447 0.1407 x4
Mn: 0.3690 0.5221 0.3650 x4
F: 0.1416 0.1733 0.7816 x4
F: 0.1419 0.6993 0.4533 x4
F: 0.3925 0.6741 0.7151 x4
F: 0.3978 0.2119 0.0461 x4

Largest 8 diffraction maxima, by intensity, 10° ≤ 2θ ≤ 90°:
20.02°, d = 4.435 Å, I = 100, (0 1 1)
39.27°, d = 2.294 Å, I = 61, (2 1 2)
24.97°, d = 3.565 Å, I = 60, (1 1 -1)
14.79°, d = 5.989 Å, I = 56, (1 0 0)
51.25°, d = 1.782 Å, I = 49, (2 2 2)
22.65°, d = 3.925 Å, I = 40, (1 0 2)
31.61°, d = 2.830 Å, I = 30, (0 1 3)
35.09°, d = 2.557 Å, I = 20, (1 1 3)